[1]
For OsPtN4Cl6, a crystal structure in the Materials Project, relaxed with GGA-PBE gives the simulated powder X-ray diffraction pattern in this record (λ = 1.5418 Å (Cu Kα)).

Atomic structure:
abc: 11.2765 11.3203 9.1064
angles: 90.00 90.00 90.00
Space group Cmce (No. 64)
Unique sites:
Os (0.0000, 0.0000, 0.0000) (multiplicity 4)
Pt (0.0000, 0.0000, 0.5000) (multiplicity 4)
N (0.1113, 0.0491, 0.3495) (multiplicity 16)
Cl (0.0000, 0.0956, 0.2273) (multiplicity 8)
Cl (0.1451, 0.1301, 0.9195) (multiplicity 16)

Principal peaks in the range 10 to 90 degrees two-theta, in order of rising 2θ:
2θ (°), I/Imax
15.69, 1000
19.50, 211
22.25, 403
25.12, 326
29.75, 279
40.84, 325

[2]
For PNCl2, a crystal structure in the Materials Project, relaxed with GGA-PBE gives the simulated powder X-ray diffraction pattern in this record (λ = 1.5418 Å (Cu Kα)).

Atomic structure:
abc: 13.5607 13.5607 7.7238
angles: 90.00 90.00 90.00
Space group P4_2/n (No. 86, origin choice 2)
Unique sites:
P (0.0446, 0.1822, 0.0364) (multiplicity 8)
N (0.0937, 0.0940, 0.9571) (multiplicity 8)
Cl (0.0045, 0.6937, 0.0786) (multiplicity 8)
Cl (0.0228, 0.2104, 0.2900) (multiplicity 8)

Principal peaks in the range 10 to 90 degrees two-theta, in order of rising 2θ:
2θ (°), I/Imax
13.19, 131
17.40, 662
18.52, 1000
20.71, 147
26.33, 285
29.49, 310